1.
Diffraction record for Sm4IBr4N2. The PXRD pattern is theoretical, not measured: it uses the GGA-PBE geometry in OQMD and Cu Kα, 1.54184 Å.
No peak broadening, texture or thermal motion is included.

Main lines, low angle first (15° ≤ 2θ ≤ 90°):
- 2θ = 28.60°, d = 3.122 Å, I = 37
- 2θ = 29.51°, d = 3.027 Å, I = 71
- 2θ = 31.47°, d = 2.843 Å, I = 27
- 2θ = 31.84°, d = 2.811 Å, I = 100
- 2θ = 43.39°, d = 2.086 Å, I = 36
- 2θ = 44.53°, d = 2.035 Å, I = 39

Structural model:
Cell: 9.594 9.594 8.488 Å, 104.87 104.87 22.56°
Fractional coordinates of all 11 atoms:
Sm1 0.001 0.001 0.187
Sm2 0.339 0.339 0.901
Sm3 0.661 0.661 0.099
Sm4 0.999 0.999 0.813
I1 0.500 0.500 0.500
Br1 0.162 0.162 0.367
Br2 0.169 0.169 0.825
Br3 0.831 0.831 0.175
Br4 0.838 0.838 0.633
N1 0.462 0.462 0.979
N2 0.538 0.538 0.021

=====

2.
Diffraction record for Sm2I2BrN. The PXRD pattern is theoretical, not measured: it uses the GGA-PBE geometry in OQMD and Cu Kα, 1.54184 Å.
No peak broadening, texture or thermal motion is included.

Main lines, low angle first (15° ≤ 2θ ≤ 90°):
- 2θ = 25.70°, d = 3.467 Å, I = 69
- 2θ = 26.93°, d = 3.311 Å, I = 45
- 2θ = 29.60°, d = 3.017 Å, I = 59
- 2θ = 31.21°, d = 2.866 Å, I = 100
- 2θ = 33.59°, d = 2.668 Å, I = 50
- 2θ = 39.44°, d = 2.285 Å, I = 41

Structural model:
Cell: 9.968 9.968 12.216 Å, 125.40 125.40 23.39°
Fractional coordinates of all 12 atoms:
Sm1 0.072 0.072 0.461
Sm2 0.364 0.364 0.216
Sm3 0.636 0.636 0.784
Sm4 0.928 0.928 0.539
I1 0.275 0.275 0.370
I2 0.464 0.464 0.767
I3 0.536 0.536 0.233
I4 0.725 0.725 0.630
Br1 0.173 0.173 0.005
Br2 0.827 0.827 0.995
N1 0.074 0.074 0.653
N2 0.926 0.926 0.347

=====

3.
Diffraction record for Sm4I2Br3N. The PXRD pattern is theoretical, not measured: it uses the GGA-PBE geometry in OQMD and Cu Kα, 1.54184 Å.
No peak broadening, texture or thermal motion is included.

Main lines, low angle first (15° ≤ 2θ ≤ 90°):
- 2θ = 29.48°, d = 3.030 Å, I = 43
- 2θ = 31.53°, d = 2.837 Å, I = 100
- 2θ = 33.79°, d = 2.653 Å, I = 46
- 2θ = 43.61°, d = 2.076 Å, I = 41
- 2θ = 43.78°, d = 2.068 Å, I = 23
- 2θ = 46.80°, d = 1.941 Å, I = 19

Structural model:
Cell: 9.516 9.516 8.312 Å, 102.35 102.35 23.54°
Fractional coordinates of all 10 atoms:
Sm1 0.001 0.001 0.299
Sm2 0.367 0.367 0.430
Sm3 0.633 0.633 0.570
Sm4 0.999 0.999 0.701
I1 0.172 0.172 0.307
I2 0.828 0.828 0.693
Br1 0.159 0.159 0.839
Br2 0.500 0.500 0.000
Br3 0.841 0.841 0.161
N1 0.500 0.500 0.500